Entry 1:
# Li9MgZn2
Simulated powder X-ray diffraction pattern, CuKα. Input: the PBE geometry in Alexandria.
No peak broadening, texture or thermal motion is included.

Principal peaks in the range 10 to 90 degrees two-theta, by angle:
| h k l | d [Å] | Rel. int. |
| --- | --- | --- |
| 1 0 0 | 8.090 | 32 |
| 1 1 0 | 4.671 | 100 |
| 0 0 1 | 2.878 | 10 |
| 3 0 0 | 2.697 | 25 |
| 1 1 1 | 2.450 | 48 |
| 2 2 0 | 2.335 | 31 |
| 3 0 1 | 1.968 | 25 |
| 2 2 1 | 1.813 | 15 |
| 4 1 0 | 1.765 | 14 |
| 4 1 1 | 1.505 | 20 |

Crystal structure
```
data_Li9MgZn2
_cell_length_a 9.3411
_cell_length_b 9.3411
_cell_length_c 2.8778
_cell_angle_alpha 90.00
_cell_angle_beta 90.00
_cell_angle_gamma 120.00
_space_group_name_H-M_alt 'P 6/m m m'
_space_group_IT_number 191
_space_group_name_Hall '-P 6 2'
loop_
_atom_site_label
_atom_site_type_symbol
_atom_site_fract_x
_atom_site_fract_y
_atom_site_fract_z
_atom_site_occupancy
Li1 Li 0.0000 0.5000 0.0000 1
Li2 Li 0.1784 0.3567 0.5000 1
Mg1 Mg 0.0000 0.0000 0.0000 1
Zn1 Zn 0.3333 0.6667 0.0000 1
```



Entry 2:
# CoAs2P6
Simulated powder X-ray diffraction pattern, CuKα. Input: the PBE geometry in Alexandria.
No peak broadening, texture or thermal motion is included.

Principal peaks in the range 10 to 90 degrees two-theta, by angle:
| h k l | d [Å] | Rel. int. |
| --- | --- | --- |
| 1 0 1 | 3.527 | 100 |
| 1 1 0 | 3.026 | 30 |
| 2 -1 1 | 2.555 | 89 |
| 2 0 1 | 2.296 | 43 |
| 1 1 2 | 1.873 | 77 |
| 3 -1 1 | 1.829 | 36 |
| 3 0 0 | 1.747 | 55 |
| 4 -2 2 | 1.277 | 20 |
| 3 0 3 | 1.176 | 14 |
| 2 -1 4 | 1.109 | 15 |

Crystal structure
```
data_CoAs2P6
_cell_length_a 6.0511
_cell_length_b 6.0511
_cell_length_c 4.7680
_cell_angle_alpha 90.00
_cell_angle_beta 90.00
_cell_angle_gamma 120.00
_space_group_name_H-M_alt 'P -3 1 m'
_space_group_IT_number 162
_space_group_name_Hall '-P 3 2'
loop_
_atom_site_label
_atom_site_type_symbol
_atom_site_fract_x
_atom_site_fract_y
_atom_site_fract_z
_atom_site_occupancy
Co1 Co 0.0000 0.0000 0.0000 1
As1 As 0.3333 0.6667 0.5000 1
P1 P 0.0000 0.3559 0.8411 1
```



Entry 3:
# AcRh4O8
Simulated powder X-ray diffraction pattern, CuKα. Input: the PBE geometry in Alexandria.
No peak broadening, texture or thermal motion is included.

Principal peaks in the range 10 to 90 degrees two-theta, by angle:
| h k l | d [Å] | Rel. int. |
| --- | --- | --- |
| 0 0 3 | 5.629 | 46 |
| 1 0 1 | 5.163 | 69 |
| 0 1 2 | 4.563 | 52 |
| 0 0 6 | 2.814 | 34 |
| 1 1 3 | 2.736 | 28 |
| 2 0 2 | 2.581 | 67 |
| 0 2 4 | 2.281 | 100 |
| 2 0 8 | 1.666 | 31 |
| 2 2 0 | 1.565 | 31 |
| 2 2 6 | 1.368 | 24 |

Crystal structure
```
data_AcRh4O8
_cell_length_a 6.2613
_cell_length_b 6.2613
_cell_length_c 16.8867
_cell_angle_alpha 90.00
_cell_angle_beta 90.00
_cell_angle_gamma 120.00
_space_group_name_H-M_alt 'R -3 m'
_space_group_IT_number 166
_space_group_name_Hall '-R 3 2"'
loop_
_atom_site_label
_atom_site_type_symbol
_atom_site_fract_x
_atom_site_fract_y
_atom_site_fract_z
_atom_site_occupancy
Ac1 Ac 0.0000 0.0000 0.0000 1
Rh1 Rh 0.0000 0.0000 0.5000 1
Rh2 Rh 0.0000 0.5000 0.5000 1
O1 O 0.0000 0.0000 0.2214 1
O2 O 0.0012 0.5006 0.2274 1
```



Entry 4:
# CaTiGa3
Simulated powder X-ray diffraction pattern, CuKα. Input: the PBE geometry in Alexandria.
No peak broadening, texture or thermal motion is included.

Principal peaks in the range 10 to 90 degrees two-theta, by angle:
| h k l | d [Å] | Rel. int. |
| --- | --- | --- |
| 1 0 0 | 4.957 | 38 |
| 1 1 1 | 2.862 | 96 |
| 2 0 0 | 2.479 | 100 |
| 2 1 0 | 2.217 | 19 |
| 2 2 0 | 1.753 | 67 |
| 3 1 1 | 1.495 | 39 |
| 2 2 2 | 1.431 | 22 |
| 4 0 0 | 1.239 | 10 |
| 3 3 1 | 1.137 | 15 |
| 4 2 0 | 1.109 | 28 |

Crystal structure
```
data_CaTiGa3
_cell_length_a 4.957
_cell_length_b 4.957
_cell_length_c 4.957
_cell_angle_alpha 90.00
_cell_angle_beta 90.00
_cell_angle_gamma 90.00
_space_group_name_H-M_alt 'P m -3 m'
_space_group_IT_number 221
_space_group_name_Hall '-P 4 2 3'
loop_
_atom_site_label
_atom_site_type_symbol
_atom_site_fract_x
_atom_site_fract_y
_atom_site_fract_z
_atom_site_occupancy
Ca1 Ca 0.000 0.000 0.000 1
Ti1 Ti 0.500 0.500 0.500 1
Ga1 Ga 0.000 0.500 0.500 1
```



Entry 5:
# KTe2Br4
Simulated powder X-ray diffraction pattern, CuKα. Input: the PBE geometry in Alexandria.
No peak broadening, texture or thermal motion is included.

Principal peaks in the range 10 to 90 degrees two-theta, by angle:
| h k l | d [Å] | Rel. int. |
| --- | --- | --- |
| 0 0 2 | 7.572 | 100 |
| 1 3 1 | 4.351 | 32 |
| 1 3 3 | 3.377 | 86 |
| 3 1 1 | 3.302 | 46 |
| 2 2 4 | 2.839 | 21 |
| 3 1 3 | 2.810 | 26 |
| 2 4 4 | 2.381 | 26 |
| 1 1 7 | 2.098 | 29 |
| 2 4 6 | 1.948 | 20 |
| 5 5 1 | 1.705 | 21 |

Crystal structure
```
data_KTe2Br4
_cell_length_a 10.413
_cell_length_b 15.143
_cell_length_c 15.145
_cell_angle_alpha 90.00
_cell_angle_beta 90.00
_cell_angle_gamma 90.00
_space_group_name_H-M_alt 'F 2 2 2'
_space_group_IT_number 22
_space_group_name_Hall 'F 2 2'
loop_
_atom_site_label
_atom_site_type_symbol
_atom_site_fract_x
_atom_site_fract_y
_atom_site_fract_z
_atom_site_occupancy
K1 K 0.000 0.000 0.000 1
K2 K 0.250 0.250 0.250 1
Te1 Te 0.125 0.048 0.703 1
Br1 Br 0.054 0.155 0.839 1
Br2 Br 0.195 0.088 0.405 1
```



Entry 6:
# BC5
Simulated powder X-ray diffraction pattern, CuKα. Input: the PBE geometry in Alexandria.
No peak broadening, texture or thermal motion is included.

Principal peaks in the range 10 to 90 degrees two-theta, by angle:
| h k l | d [Å] | Rel. int. |
| --- | --- | --- |
| 0 2 0 | 5.425 | 1 |
| 0 0 1 | 3.703 | 2 |
| 1 1 0 | 3.415 | 1 |
| 1 3 1 | 2.100 | 100 |
| 0 6 2 | 1.294 | 13 |
| 2 0 2 | 1.290 | 13 |
| 2 6 0 | 1.275 | 13 |
| 1 3 3 | 1.111 | 8 |
| 1 9 1 | 1.092 | 8 |

Crystal structure
```
data_BC5
_cell_length_a 3.598
_cell_length_b 10.850
_cell_length_c 3.703
_cell_angle_alpha 90.00
_cell_angle_beta 90.00
_cell_angle_gamma 90.00
_space_group_name_H-M_alt 'C 2 2 2'
_space_group_IT_number 21
loop_
_space_group_symop_operation_xyz
'x,y,z'
'-x,-y,z'
'x,-y,-z'
'-x,y,-z'
'x+1/2,y+1/2,z'
'-x+1/2,-y+1/2,z'
'x+1/2,-y+1/2,-z'
'-x+1/2,y+1/2,-z'
loop_
_atom_site_label
_atom_site_type_symbol
_atom_site_fract_x
_atom_site_fract_y
_atom_site_fract_z
_atom_site_occupancy
B1 B 0.000 0.169 0.000 1
C1 C 0.000 0.000 0.500 1
C2 C 0.000 0.334 0.500 1
C3 C 0.000 0.500 0.000 1
C4 C 0.245 0.419 0.744 1
C5 C 0.250 0.250 0.269 1
```



Entry 7:
# AcB3Ru2
Simulated powder X-ray diffraction pattern, CuKα. Input: the PBE geometry in Alexandria.
No peak broadening, texture or thermal motion is included.

Principal peaks in the range 10 to 90 degrees two-theta, by angle:
| h k l | d [Å] | Rel. int. |
| --- | --- | --- |
| 0 2 0 | 5.054 | 16 |
| 1 2 1 | 3.153 | 67 |
| 0 3 1 | 2.978 | 87 |
| 1 1 2 | 2.624 | 100 |
| 2 0 0 | 2.607 | 46 |
| 1 4 1 | 2.142 | 29 |
| 2 3 1 | 1.962 | 58 |
| 1 2 3 | 1.832 | 23 |
| 1 5 2 | 1.623 | 32 |
| 3 1 2 | 1.508 | 19 |

Crystal structure
```
data_AcB3Ru2
_cell_length_a 5.214
_cell_length_b 10.109
_cell_length_c 6.367
_cell_angle_alpha 90.00
_cell_angle_beta 90.00
_cell_angle_gamma 90.00
_space_group_name_H-M_alt 'I m m a'
_space_group_IT_number 74
_space_group_name_Hall '-I 2b 2'
loop_
_atom_site_label
_atom_site_type_symbol
_atom_site_fract_x
_atom_site_fract_y
_atom_site_fract_z
_atom_site_occupancy
Ac1 Ac 0.000 0.250 0.120 1
B1 B 0.173 0.000 0.000 1
B2 B 0.250 0.250 0.750 1
Ru1 Ru 0.000 0.085 0.683 1
```



Entry 8:
# La7Re
Simulated powder X-ray diffraction pattern, CuKα. Input: the PBE geometry in Alexandria.
No peak broadening, texture or thermal motion is included.

Principal peaks in the range 10 to 90 degrees two-theta, by angle:
| h k l | d [Å] | Rel. int. |
| --- | --- | --- |
| 1 1 1 | 5.762 | 1 |
| 3 1 1 | 3.009 | 1 |
| 2 2 2 | 2.881 | 100 |
| 4 0 0 | 2.495 | 50 |
| 4 4 0 | 1.764 | 36 |
| 6 2 2 | 1.504 | 42 |
| 4 4 4 | 1.440 | 12 |
| 8 0 0 | 1.247 | 6 |
| 6 6 2 | 1.145 | 17 |
| 8 4 0 | 1.116 | 16 |

Crystal structure
```
data_La7Re
_cell_length_a 9.979
_cell_length_b 9.979
_cell_length_c 9.979
_cell_angle_alpha 90.00
_cell_angle_beta 90.00
_cell_angle_gamma 90.00
_space_group_name_H-M_alt 'F m -3 m'
_space_group_IT_number 225
_space_group_name_Hall '-F 4 2 3'
loop_
_atom_site_label
_atom_site_type_symbol
_atom_site_fract_x
_atom_site_fract_y
_atom_site_fract_z
_atom_site_occupancy
La1 La 0.000 0.000 0.000 1
La2 La 0.000 0.250 0.250 1
Re1 Re 0.000 0.000 0.500 1
```



Entry 9:
# BaB2Pt10
Simulated powder X-ray diffraction pattern, CuKα. Input: the PBE geometry in Alexandria.
No peak broadening, texture or thermal motion is included.

Principal peaks in the range 10 to 90 degrees two-theta, by angle:
| h k l | d [Å] | Rel. int. |
| --- | --- | --- |
| 0 2 0 | 6.619 | 83 |
| 1 1 3 | 3.346 | 47 |
| 0 4 2 | 3.000 | 42 |
| 1 3 3 | 2.722 | 29 |
| 2 0 0 | 2.531 | 35 |
| 2 0 2 | 2.384 | 36 |
| 0 0 6 | 2.368 | 71 |
| 1 5 1 | 2.315 | 56 |
| 1 5 3 | 2.102 | 100 |
| 2 2 4 | 1.968 | 30 |

Crystal structure
```
data_BaB2Pt10
_cell_length_a 5.062
_cell_length_b 13.238
_cell_length_c 14.208
_cell_angle_alpha 90.00
_cell_angle_beta 90.00
_cell_angle_gamma 90.00
_space_group_name_H-M_alt 'F m m m'
_space_group_IT_number 69
_space_group_name_Hall '-F 2 2'
loop_
_atom_site_label
_atom_site_type_symbol
_atom_site_fract_x
_atom_site_fract_y
_atom_site_fract_z
_atom_site_occupancy
Ba1 Ba 0.000 0.000 0.000 1
B1 B 0.250 0.000 0.250 1
Pt1 Pt 0.000 0.100 0.326 1
Pt2 Pt 0.000 0.199 0.158 1
Pt3 Pt 0.250 0.250 0.000 1
```



Entry 10:
# BaCeInN3
Simulated powder X-ray diffraction pattern, CuKα. Input: the PBE geometry in Alexandria.
No peak broadening, texture or thermal motion is included.

Principal peaks in the range 10 to 90 degrees two-theta, by angle:
| h k l | d [Å] | Rel. int. |
| --- | --- | --- |
| 1 0 -1 | 6.094 | 52 |
| 1 0 1 | 5.547 | 19 |
| 0 1 1 | 3.351 | 25 |
| 2 0 -2 | 3.047 | 71 |
| 0 0 3 | 2.840 | 25 |
| 0 1 2 | 2.770 | 96 |
| 2 1 0 | 2.682 | 100 |
| 0 2 0 | 1.822 | 19 |
| 4 1 -2 | 1.659 | 23 |
| 2 2 -2 | 1.564 | 21 |

Crystal structure
```
data_BaCeInN3
_cell_length_a 7.956
_cell_length_b 3.644
_cell_length_c 8.557
_cell_angle_alpha 90.00
_cell_angle_beta 95.39
_cell_angle_gamma 90.00
_space_group_name_H-M_alt 'P 1 21/m 1'
_space_group_IT_number 11
loop_
_space_group_symop_operation_xyz
'x,y,z'
'-x,-y,-z'
'-x,y+1/2,-z'
'x,-y+1/2,z'
loop_
_atom_site_label
_atom_site_type_symbol
_atom_site_fract_x
_atom_site_fract_y
_atom_site_fract_z
_atom_site_occupancy
Ba1 Ba 0.163 0.250 0.192 1
Ce1 Ce 0.374 0.750 0.858 1
In1 In 0.132 0.250 0.592 1
N1 N 0.160 0.750 0.453 1
N2 N 0.179 0.250 0.847 1
N3 N 0.429 0.750 0.113 1
```



Entry 11:
# Rb4AuCl
Simulated powder X-ray diffraction pattern, CuKα. Input: the PBE geometry in Alexandria.
No peak broadening, texture or thermal motion is included.

Principal peaks in the range 10 to 90 degrees two-theta, by angle:
| h k l | d [Å] | Rel. int. |
| --- | --- | --- |
| 0 1 0 | 8.379 | 14 |
| 0 0 1 | 8.223 | 49 |
| 0 2 0 | 4.195 | 23 |
| 0 2 1 | 3.503 | 100 |
| 1 -1 2 | 2.715 | 14 |
| 1 1 2 | 2.499 | 26 |
| 0 2 -3 | 2.493 | 13 |
| 2 0 -1 | 2.458 | 38 |
| -2 2 2 | 2.014 | 14 |
| 0 4 2 | 1.752 | 13 |

Crystal structure
```
data_Rb4AuCl
_cell_length_a 4.923
_cell_length_b 8.499
_cell_length_c 8.693
_cell_angle_alpha 99.25
_cell_angle_beta 106.35
_cell_angle_gamma 90.01
_space_group_name_H-M_alt 'P -1'
_space_group_IT_number 2
loop_
_space_group_symop_operation_xyz
'x,y,z'
'-x,-y,-z'
loop_
_atom_site_label
_atom_site_type_symbol
_atom_site_fract_x
_atom_site_fract_y
_atom_site_fract_z
_atom_site_occupancy
Rb1 Rb 0.114 0.381 0.229 1
Rb2 Rb 0.380 0.135 0.758 1
Au1 Au 0.000 0.000 0.000 1
Cl1 Cl 0.500 0.500 0.000 1
```



Entry 12:
# Li3MgCd4
Simulated powder X-ray diffraction pattern, CuKα. Input: the PBE geometry in Alexandria.
No peak broadening, texture or thermal motion is included.

Principal peaks in the range 10 to 90 degrees two-theta, by angle:
| h k l | d [Å] | Rel. int. |
| --- | --- | --- |
| 0 0 4 | 3.400 | 45 |
| 1 0 0 | 3.347 | 97 |
| 1 0 4 | 2.385 | 100 |
| 1 1 0 | 2.367 | 54 |
| 1 1 4 | 1.942 | 37 |
| 2 0 0 | 1.674 | 18 |
| 2 0 4 | 1.502 | 17 |
| 2 1 0 | 1.497 | 17 |
| 1 1 8 | 1.381 | 12 |
| 2 1 4 | 1.370 | 32 |

Crystal structure
```
data_Li3MgCd4
_cell_length_a 3.347
_cell_length_b 3.347
_cell_length_c 13.599
_cell_angle_alpha 90.00
_cell_angle_beta 90.00
_cell_angle_gamma 90.00
_space_group_name_H-M_alt 'P 4/m m m'
_space_group_IT_number 123
_space_group_name_Hall '-P 4 2'
loop_
_atom_site_label
_atom_site_type_symbol
_atom_site_fract_x
_atom_site_fract_y
_atom_site_fract_z
_atom_site_occupancy
Li1 Li 0.000 0.000 0.000 1
Li2 Li 0.000 0.000 0.239 1
Mg1 Mg 0.000 0.000 0.500 1
Cd1 Cd 0.500 0.500 0.120 1
Cd2 Cd 0.500 0.500 0.357 1
```